Entry 1:
Structure and simulated powder diffractogram of Al2FeRh (a structure optimized by DFT (GGA-PBE); λ = 1.5418 Å (Cu Kα)).
Kinematic intensities with the Lorentz-polarization factor, no thermal factor.

Cell and atoms:
```
16
Lattice="5.889 0.000 0.000 0.000 5.889 0.000 0.000 0.000 5.889" Properties=species:S:1:pos:R:3 pbc="T T T"
Al 1.472 1.472 1.472
Al 1.472 1.472 4.416
Al 1.472 4.416 1.472
Al 1.472 4.416 4.416
Al 4.416 1.472 1.472
Al 4.416 1.472 4.416
Al 4.416 4.416 1.472
Al 4.416 4.416 4.416
Fe 0.000 0.000 0.000
Fe 0.000 2.944 2.944
Fe 2.944 0.000 2.944
Fe 2.944 2.944 0.000
Rh 0.000 0.000 2.944
Rh 0.000 2.944 0.000
Rh 2.944 0.000 0.000
Rh 2.944 2.944 2.944
```

Peak list (9 most intense, 2θ from 10° to 80°, low angle first)
2θ (°)  d/Å  I/Imax
26.21  3.400  12
30.36  2.944  35
43.47  2.082  100
51.47  1.775  6
53.94  1.700  9
63.16  1.472  16
69.59  1.351  3
71.67  1.317  11
79.79  1.202  32

Entry 2:
Structure and simulated powder diffractogram of Np2Re3Si5 (a structure optimized by DFT (GGA-PBE); λ = 1.5418 Å (Cu Kα)).
Kinematic intensities with the Lorentz-polarization factor, no thermal factor.

Cell and atoms:
```
40
Lattice="11.004 0.000 0.000 0.000 11.004 0.000 0.000 0.000 5.494" Properties=species:S:1:pos:R:3 pbc="T T T"
Np 0.820 2.592 0.000
Np 2.592 10.184 0.000
Np 2.910 4.682 2.747
Np 4.682 8.094 2.747
Np 6.322 2.910 2.747
Np 8.094 6.322 2.747
Np 8.412 0.820 0.000
Np 10.184 8.412 0.000
Re 0.000 5.502 1.374
Re 0.000 5.502 4.121
Re 1.350 9.443 2.747
Re 1.561 1.350 2.747
Re 3.941 6.852 0.000
Re 4.152 3.941 0.000
Re 5.502 0.000 1.374
Re 5.502 0.000 4.121
Re 6.852 7.063 0.000
Re 7.063 4.152 0.000
Re 9.443 9.654 2.747
Re 9.654 1.561 2.747
Si 0.000 0.000 1.264
Si 0.000 0.000 4.231
Si 0.292 3.461 2.747
Si 1.921 7.423 1.374
Si 1.921 7.423 4.121
Si 2.040 5.209 0.000
Si 3.461 10.711 2.747
Si 3.580 1.921 1.374
Si 3.580 1.921 4.121
Si 5.209 8.963 0.000
Si 5.502 5.502 1.483
Si 5.502 5.502 4.011
Si 5.794 2.040 0.000
Si 7.423 9.082 1.374
Si 7.423 9.082 4.121
Si 7.542 0.292 2.747
Si 8.963 5.794 0.000
Si 9.082 3.580 1.374
Si 9.082 3.580 4.121
Si 10.711 7.542 2.747
```

Peak list (10 most intense, 2θ from 10° to 80°, low angle first)
2θ (°)  d/Å  I/Imax
25.60  3.480  74
29.27  3.051  29
30.41  2.940  97
32.59  2.747  30
34.63  2.591  33
36.53  2.460  64
37.47  2.400  100
40.18  2.244  68
44.34  2.043  34
61.36  1.511  49

Entry 3:
Structure and simulated powder diffractogram of CePd7 (a structure optimized by DFT (GGA-PBE); λ = 1.5418 Å (Cu Kα)).
Kinematic intensities with the Lorentz-polarization factor, no thermal factor.

Cell and atoms:
```
8
Lattice="0.000 4.054 4.054 4.054 0.000 4.054 4.054 4.054 0.000" Properties=species:S:1:pos:R:3 pbc="T T T"
Ce 0.000 0.000 0.000
Pd 2.027 2.027 0.000
Pd 2.027 0.000 2.027
Pd 4.054 2.027 2.027
Pd 0.000 2.027 2.027
Pd 2.027 4.054 2.027
Pd 2.027 2.027 4.054
Pd 4.054 4.054 4.054
```

Peak list (5 most intense, 2θ from 10° to 80°, low angle first)
2θ (°)  d/Å  I/Imax
18.96  4.682  1
38.46  2.341  100
44.70  2.027  49
65.07  1.433  31
78.19  1.222  36

Entry 4:
Structure and simulated powder diffractogram of CaTcO3 (a structure optimized by DFT (GGA-PBE); λ = 1.5418 Å (Cu Kα)).
Kinematic intensities with the Lorentz-polarization factor, no thermal factor.

Cell and atoms:
```
5
Lattice="3.927 0.000 0.000 0.002 3.939 0.000 0.009 0.017 3.948" Properties=species:S:1:pos:R:3 pbc="T T T"
Ca 0.000 0.000 0.000
Tc 1.957 2.023 1.962
O 1.947 0.056 1.950
O 1.963 2.038 3.935
O 3.920 2.036 1.966
```

Peak list (10 most intense, 2θ from 10° to 80°, low angle first)
2θ (°)  d/Å  I/Imax
22.55  3.944  45
22.64  3.927  22
32.07  2.791  50
32.18  2.782  100
45.97  1.974  20
46.09  1.969  20
46.23  1.964  20
57.24  1.610  14
57.42  1.605  19
67.33  1.391  22